# Rb2MnV2O7
Computed powder XRD pattern, Cu Kα (λ = 1.5418 Å). Input: a crystal structure in the Materials Project, relaxed with PBE+U.
Intensities are scaled so that the largest is 100.

Most intense lines, 2θ = 10–90°, in order of rising 2θ:
Position (°2θ)  Rel. int.  index
25.13  22  2 0 2
27.15  100  2 1 2
32.32  21  3 1 0
37.65  11  2 1 4
44.42  20  3 1 4
58.81  12  5 2 2

Structural model:
Cell lengths 8.7582, 8.7582, 12.0591 Å; angles 90.00, 90.00, 90.00 degrees
Atoms (fractional coordinates):
1 Rb 0.1506 0.1506 0.0000
2 Rb 0.1796 0.1796 0.5000
3 Rb 0.3204 0.6796 0.0000
4 Rb 0.3494 0.6506 0.5000
5 Rb 0.6506 0.3494 0.5000
6 Rb 0.6796 0.3204 0.0000
7 Rb 0.8204 0.8204 0.5000
8 Rb 0.8494 0.8494 0.0000
9 Mn 0.0000 0.5000 0.2500
10 Mn 0.0000 0.5000 0.7500
11 Mn 0.5000 0.0000 0.2500
12 Mn 0.5000 0.0000 0.7500
13 V 0.1391 0.8609 0.2839
14 V 0.1391 0.8609 0.7161
15 V 0.3609 0.3609 0.2161
16 V 0.3609 0.3609 0.7839
17 V 0.6391 0.6391 0.2161
18 V 0.6391 0.6391 0.7839
19 V 0.8609 0.1391 0.2839
20 V 0.8609 0.1391 0.7161
21 O 0.0000 0.0000 0.3364
22 O 0.0000 0.0000 0.6636
23 O 0.0867 0.6835 0.3375
24 O 0.0867 0.6835 0.6625
25 O 0.1402 0.8598 0.1445
26 O 0.1402 0.8598 0.8555
27 O 0.1835 0.4133 0.1625
28 O 0.1835 0.4133 0.8375
29 O 0.3165 0.9133 0.3375
30 O 0.3165 0.9133 0.6625
31 O 0.3598 0.3598 0.3555
32 O 0.3598 0.3598 0.6445
33 O 0.4133 0.1835 0.1625
34 O 0.4133 0.1835 0.8375
35 O 0.5000 0.5000 0.1636
36 O 0.5000 0.5000 0.8364
37 O 0.5867 0.8165 0.1625
38 O 0.5867 0.8165 0.8375
39 O 0.6402 0.6402 0.3555
40 O 0.6402 0.6402 0.6445
41 O 0.6835 0.0867 0.3375
42 O 0.6835 0.0867 0.6625
43 O 0.8165 0.5867 0.1625
44 O 0.8165 0.5867 0.8375
45 O 0.8598 0.1402 0.1445
46 O 0.8598 0.1402 0.8555
47 O 0.9133 0.3165 0.3375
48 O 0.9133 0.3165 0.6625